[1]
This entry pairs a crystal structure of Cu2Rh6W with its calculated powder diffractogram. Radiation: Cu Kα. Structure: a cell relaxed with GGA-PBE.
Peak positions follow from Bragg's law for the DFT cell and can differ from measured ones.

The 8 most intense peaks (15 to 90 degrees two-theta), most intense first:
40.72°, 2.216 Å, rel. 100.0, hkl 1 0 5
42.35°, 2.134 Å, rel. 92.6, hkl 1 2 1
50.15°, 1.819 Å, rel. 43.3, hkl 0 2 6
41.04°, 2.199 Å, rel. 25.7, hkl 0 2 4
53.22°, 1.721 Å, rel. 25.6, hkl 2 0 0
76.14°, 1.250 Å, rel. 24.4, hkl 2 2 6
82.06°, 1.174 Å, rel. 22.2, hkl 1 4 5
86.65°, 1.124 Å, rel. 20.8, hkl 1 2 11

```
data_Cu2Rh6W
_symmetry_space_group_name_H-M 'I m m 2'
_symmetry_Int_Tables_number 44
_cell_length_a 3.4425
_cell_length_b 5.5393
_cell_length_c 14.4754
_cell_angle_alpha 90.00
_cell_angle_beta 90.00
_cell_angle_gamma 90.00
loop_
_symmetry_equiv_pos_as_xyz
'x,y,z'
'-x,-y,z'
'-x,y,z'
'x,-y,z'
'x+1/2,y+1/2,z+1/2'
'-x+1/2,-y+1/2,z+1/2'
'-x+1/2,y+1/2,z+1/2'
'x+1/2,-y+1/2,z+1/2'
loop_
_atom_site_label
_atom_site_type_symbol
_atom_site_fract_x
_atom_site_fract_y
_atom_site_fract_z
Cu1 Cu 0.0000 0.0000 0.0000
Cu2 Cu 0.0000 0.0000 0.1965
Rh1 Rh 0.0000 0.2195 0.4249
Rh2 Rh 0.0000 0.2455 0.6021
Rh3 Rh 0.0000 0.2571 0.7953
W1 W 0.0000 0.5000 0.1981
```

[2]
This entry pairs a crystal structure of ErMgSnHg with its calculated powder diffractogram. Radiation: Cu Kα. Structure: a cell relaxed with GGA-PBE.
Peak positions follow from Bragg's law for the DFT cell and can differ from measured ones.

The 8 most intense peaks (15 to 90 degrees two-theta), most intense first:
34.15°, 2.625 Å, rel. 100.0, hkl 1 1 1
36.83°, 2.441 Å, rel. 20.4, hkl 0 0 2
19.25°, 4.611 Å, rel. 18.2, hkl 0 1 0
39.07°, 2.306 Å, rel. 17.4, hkl 0 2 0
64.63°, 1.442 Å, rel. 16.1, hkl 1 1 3
42.83°, 2.112 Å, rel. 15.3, hkl 2 0 0
27.94°, 3.194 Å, rel. 15.1, hkl 1 0 1
67.65°, 1.385 Å, rel. 14.1, hkl 1 3 1

```
data_ErMgSnHg
_symmetry_space_group_name_H-M 'P m m m'
_symmetry_Int_Tables_number 47
_cell_length_a 4.2227
_cell_length_b 4.6111
_cell_length_c 4.8814
_cell_angle_alpha 90.00
_cell_angle_beta 90.00
_cell_angle_gamma 90.00
loop_
_symmetry_equiv_pos_as_xyz
'x,y,z'
'-x,-y,-z'
'-x,-y,z'
'x,y,-z'
'x,-y,-z'
'-x,y,z'
'-x,y,-z'
'x,-y,z'
loop_
_atom_site_label
_atom_site_type_symbol
_atom_site_fract_x
_atom_site_fract_y
_atom_site_fract_z
Er1 Er 0.0000 0.0000 0.0000
Mg1 Mg 0.0000 0.5000 0.5000
Sn1 Sn 0.5000 0.5000 0.0000
Hg1 Hg 0.5000 0.0000 0.5000
```

[3]
This entry pairs a crystal structure of KBaGaH2 with its calculated powder diffractogram. Radiation: Cu Kα. Structure: a cell relaxed with GGA-PBE.
Peak positions follow from Bragg's law for the DFT cell and can differ from measured ones.

The 8 most intense peaks (15 to 90 degrees two-theta), most intense first:
23.23°, 3.829 Å, rel. 100.0, hkl 1 0 1
24.65°, 3.611 Å, rel. 96.8, hkl 1 1 0
39.92°, 2.258 Å, rel. 53.3, hkl 1 1 2
42.55°, 2.124 Å, rel. 41.5, hkl 2 1 1
35.15°, 2.553 Å, rel. 40.1, hkl 2 0 0
47.49°, 1.915 Å, rel. 33.0, hkl 2 0 2
30.90°, 2.894 Å, rel. 28.6, hkl 0 0 2
50.56°, 1.805 Å, rel. 26.2, hkl 2 2 0

```
data_KBaGaH2
_symmetry_space_group_name_H-M 'P 4/m m m'
_symmetry_Int_Tables_number 123
_symmetry_space_group_name_Hall '-P 4 2'
_cell_length_a 5.1068
_cell_length_b 5.1068
_cell_length_c 5.7878
_cell_angle_alpha 90.00
_cell_angle_beta 90.00
_cell_angle_gamma 90.00
loop_
_atom_site_label
_atom_site_type_symbol
_atom_site_fract_x
_atom_site_fract_y
_atom_site_fract_z
K1 K 0.0000 0.0000 0.0000
Ba1 Ba 0.5000 0.5000 0.0000
Ga1 Ga 0.0000 0.0000 0.5000
H1 H 0.0000 0.5000 0.5000
```

[4]
This entry pairs a crystal structure of CeBr3Cl with its calculated powder diffractogram. Radiation: Cu Kα. Structure: a cell relaxed with GGA-PBE.
Peak positions follow from Bragg's law for the DFT cell and can differ from measured ones.

The 8 most intense peaks (15 to 90 degrees two-theta), most intense first:
32.12°, 2.786 Å, rel. 100.0, hkl 1 3 -1
20.51°, 4.331 Å, rel. 90.1, hkl 2 0 0
38.57°, 2.334 Å, rel. 74.5, hkl 3 3 -1
29.86°, 2.992 Å, rel. 71.8, hkl 0 0 2
15.14°, 5.851 Å, rel. 53.8, hkl 2 0 -1
38.94°, 2.313 Å, rel. 52.7, hkl 1 3 -2
34.76°, 2.581 Å, rel. 50.7, hkl 3 1 -3
34.63°, 2.590 Å, rel. 42.3, hkl 2 0 -3

```
data_CeBr3Cl
_symmetry_space_group_name_H-M 'C 1 2/m 1'
_symmetry_Int_Tables_number 12
_cell_length_a 11.7295
_cell_length_b 8.9036
_cell_length_c 8.0918
_cell_angle_alpha 90.00
_cell_angle_beta 132.39
_cell_angle_gamma 90.00
loop_
_symmetry_equiv_pos_as_xyz
'x,y,z'
'-x,-y,-z'
'-x,y,-z'
'x,-y,z'
'x+1/2,y+1/2,z'
'-x+1/2,-y+1/2,-z'
'-x+1/2,y+1/2,-z'
'x+1/2,-y+1/2,z'
loop_
_atom_site_label
_atom_site_type_symbol
_atom_site_fract_x
_atom_site_fract_y
_atom_site_fract_z
Ce1 Ce 0.2424 0.0000 0.1217
Br1 Br 0.0617 0.5000 0.3627
Br2 Br 0.2433 0.1886 0.7962
Cl1 Cl 0.0601 0.0000 0.2447
```

[5]
This entry pairs a crystal structure of Na3Se with its calculated powder diffractogram. Radiation: Cu Kα. Structure: a cell relaxed with GGA-PBE.
Peak positions follow from Bragg's law for the DFT cell and can differ from measured ones.

The 8 most intense peaks (15 to 90 degrees two-theta), most intense first:
33.38°, 2.684 Å, rel. 100.0, hkl 1 1 1
38.74°, 2.324 Å, rel. 49.2, hkl 2 0 0
19.09°, 4.649 Å, rel. 39.8, hkl 1 0 0
66.73°, 1.402 Å, rel. 36.0, hkl 3 1 1
27.13°, 3.287 Å, rel. 33.4, hkl 1 1 0
55.94°, 1.644 Å, rel. 31.9, hkl 2 2 0
43.53°, 2.079 Å, rel. 18.4, hkl 2 1 0
47.93°, 1.898 Å, rel. 13.9, hkl 2 1 1

```
data_Na3Se
_symmetry_space_group_name_H-M 'P m -3 m'
_symmetry_Int_Tables_number 221
_symmetry_space_group_name_Hall '-P 4 2 3'
_cell_length_a 4.6490
_cell_length_b 4.6490
_cell_length_c 4.6490
_cell_angle_alpha 90.00
_cell_angle_beta 90.00
_cell_angle_gamma 90.00
loop_
_atom_site_label
_atom_site_type_symbol
_atom_site_fract_x
_atom_site_fract_y
_atom_site_fract_z
Na1 Na 0.0000 0.0000 0.5000
Se1 Se 0.5000 0.5000 0.5000
```

[6]
This entry pairs a crystal structure of Cs2NbCrCl6 with its calculated powder diffractogram. Radiation: Cu Kα. Structure: a cell relaxed with GGA-PBE.
Peak positions follow from Bragg's law for the DFT cell and can differ from measured ones.

The 8 most intense peaks (15 to 90 degrees two-theta), most intense first:
24.22°, 3.675 Å, rel. 100.0, hkl 2 2 0
34.52°, 2.599 Å, rel. 68.4, hkl 4 0 0
49.61°, 1.837 Å, rel. 45.5, hkl 4 4 0
42.61°, 2.122 Å, rel. 44.5, hkl 4 2 2
29.78°, 3.001 Å, rel. 37.7, hkl 2 2 2
67.42°, 1.389 Å, rel. 22.8, hkl 6 4 2
55.95°, 1.643 Å, rel. 20.0, hkl 6 2 0
83.12°, 1.162 Å, rel. 19.6, hkl 8 4 0

```
data_Cs2NbCrCl6
_symmetry_space_group_name_H-M 'F m -3 m'
_symmetry_Int_Tables_number 225
_symmetry_space_group_name_Hall '-F 4 2 3'
_cell_length_a 10.3942
_cell_length_b 10.3942
_cell_length_c 10.3942
_cell_angle_alpha 90.00
_cell_angle_beta 90.00
_cell_angle_gamma 90.00
loop_
_atom_site_label
_atom_site_type_symbol
_atom_site_fract_x
_atom_site_fract_y
_atom_site_fract_z
Cs1 Cs 0.2500 0.2500 0.2500
Nb1 Nb 0.0000 0.0000 0.0000
Cr1 Cr 0.0000 0.0000 0.5000
Cl1 Cl 0.0000 0.0000 0.2474
```

[7]
This entry pairs a crystal structure of PuHgSbPb with its calculated powder diffractogram. Radiation: Cu Kα. Structure: a cell relaxed with GGA-PBE.
Peak positions follow from Bragg's law for the DFT cell and can differ from measured ones.

The 8 most intense peaks (15 to 90 degrees two-theta), most intense first:
32.86°, 2.726 Å, rel. 100.0, hkl 1 1 1
35.15°, 2.553 Å, rel. 20.9, hkl 0 0 2
61.62°, 1.505 Å, rel. 16.9, hkl 1 1 3
39.24°, 2.296 Å, rel. 15.6, hkl 0 2 0
39.84°, 2.263 Å, rel. 14.9, hkl 2 0 0
67.10°, 1.395 Å, rel. 13.2, hkl 1 3 1
53.69°, 1.707 Å, rel. 12.7, hkl 0 2 2
67.93°, 1.380 Å, rel. 12.7, hkl 3 1 1

```
data_PuHgSbPb
_symmetry_space_group_name_H-M 'P m m m'
_symmetry_Int_Tables_number 47
_cell_length_a 4.5257
_cell_length_b 4.5922
_cell_length_c 5.1060
_cell_angle_alpha 90.00
_cell_angle_beta 90.00
_cell_angle_gamma 90.00
loop_
_symmetry_equiv_pos_as_xyz
'x,y,z'
'-x,-y,-z'
'-x,-y,z'
'x,y,-z'
'x,-y,-z'
'-x,y,z'
'-x,y,-z'
'x,-y,z'
loop_
_atom_site_label
_atom_site_type_symbol
_atom_site_fract_x
_atom_site_fract_y
_atom_site_fract_z
Pu1 Pu 0.0000 0.0000 0.0000
Hg1 Hg 0.0000 0.5000 0.5000
Sb1 Sb 0.5000 0.5000 0.0000
Pb1 Pb 0.5000 0.0000 0.5000
```

[8]
This entry pairs a crystal structure of Ac2TmPdO5 with its calculated powder diffractogram. Radiation: Cu Kα. Structure: a cell relaxed with GGA-PBE.
Peak positions follow from Bragg's law for the DFT cell and can differ from measured ones.

The 8 most intense peaks (15 to 90 degrees two-theta), most intense first:
29.86°, 2.992 Å, rel. 100.0, hkl 0 0 2
32.63°, 2.745 Å, rel. 58.7, hkl 2 1 1
42.03°, 2.150 Å, rel. 36.4, hkl 2 1 2
28.91°, 3.088 Å, rel. 27.2, hkl 2 1 0
54.77°, 1.676 Å, rel. 16.0, hkl 2 1 3
55.39°, 1.659 Å, rel. 15.2, hkl 4 0 1
41.35°, 2.184 Å, rel. 14.9, hkl 3 1 0
36.82°, 2.441 Å, rel. 14.7, hkl 2 2 0

```
data_Ac2TmPdO5
_symmetry_space_group_name_H-M 'P 4/m b m'
_symmetry_Int_Tables_number 127
_symmetry_space_group_name_Hall '-P 4 2ab'
_cell_length_a 6.9048
_cell_length_b 6.9048
_cell_length_c 5.9891
_cell_angle_alpha 90.00
_cell_angle_beta 90.00
_cell_angle_gamma 90.00
loop_
_atom_site_label
_atom_site_type_symbol
_atom_site_fract_x
_atom_site_fract_y
_atom_site_fract_z
Ac1 Ac 0.1625 0.3375 0.0000
Tm1 Tm 0.0000 0.0000 0.5000
Pd1 Pd 0.0000 0.5000 0.5000
O1 O 0.0000 0.0000 0.0000
O2 O 0.1704 0.6704 0.2747
```

[9]
This entry pairs a crystal structure of PmAgP2Pt7 with its calculated powder diffractogram. Radiation: Cu Kα. Structure: a cell relaxed with GGA-PBE.
Peak positions follow from Bragg's law for the DFT cell and can differ from measured ones.

The 8 most intense peaks (15 to 90 degrees two-theta), most intense first:
36.45°, 2.465 Å, rel. 100.0, hkl 1 1 6
44.91°, 2.018 Å, rel. 39.5, hkl 2 0 0
77.25°, 1.235 Å, rel. 23.0, hkl 3 1 6
23.85°, 3.731 Å, rel. 19.1, hkl 1 0 3
26.81°, 3.325 Å, rel. 16.4, hkl 1 0 5
44.28°, 2.045 Å, rel. 15.7, hkl 1 1 10
33.70°, 2.660 Å, rel. 14.7, hkl 1 1 4
65.40°, 1.427 Å, rel. 13.0, hkl 2 2 0

```
data_PmAgP2Pt7
_symmetry_space_group_name_H-M 'I -4 m 2'
_symmetry_Int_Tables_number 119
_symmetry_space_group_name_Hall 'I -4 -2'
_cell_length_a 4.0363
_cell_length_b 4.0363
_cell_length_c 29.3303
_cell_angle_alpha 90.00
_cell_angle_beta 90.00
_cell_angle_gamma 90.00
loop_
_atom_site_label
_atom_site_type_symbol
_atom_site_fract_x
_atom_site_fract_y
_atom_site_fract_z
Pm1 Pm 0.0000 0.0000 0.0000
Ag1 Ag 0.0000 0.5000 0.2500
P1 P 0.0000 0.0000 0.3805
Pt1 Pt 0.0000 0.0000 0.3075
Pt2 Pt 0.0000 0.0000 0.5000
Pt3 Pt 0.0000 0.5000 0.0770
Pt4 Pt 0.0000 0.5000 0.5767
```

[10]
This entry pairs a crystal structure of BaPaPO2 with its calculated powder diffractogram. Radiation: Cu Kα. Structure: a cell relaxed with GGA-PBE.
Peak positions follow from Bragg's law for the DFT cell and can differ from measured ones.

The 8 most intense peaks (15 to 90 degrees two-theta), most intense first:
25.68°, 3.468 Å, rel. 100.0, hkl 1 0 1
28.64°, 3.117 Å, rel. 49.1, hkl 1 1 0
48.97°, 1.860 Å, rel. 36.1, hkl 2 1 1
40.95°, 2.204 Å, rel. 26.5, hkl 2 0 0
43.35°, 2.087 Å, rel. 24.4, hkl 1 1 2
37.97°, 2.370 Å, rel. 22.3, hkl 1 0 2
31.84°, 2.810 Å, rel. 18.0, hkl 0 0 2
52.79°, 1.734 Å, rel. 17.1, hkl 2 0 2

```
data_BaPaPO2
_symmetry_space_group_name_H-M 'P 4 m m'
_symmetry_Int_Tables_number 99
_cell_length_a 4.4077
_cell_length_b 4.4077
_cell_length_c 5.6205
_cell_angle_alpha 90.00
_cell_angle_beta 90.00
_cell_angle_gamma 90.00
loop_
_symmetry_equiv_pos_as_xyz
'x,y,z'
'-y,x,z'
'-x,-y,z'
'y,-x,z'
'-x,y,z'
'y,x,z'
'x,-y,z'
'-y,-x,z'
loop_
_atom_site_label
_atom_site_type_symbol
_atom_site_fract_x
_atom_site_fract_y
_atom_site_fract_z
Ba1 Ba 0.0000 0.0000 0.0000
Pa1 Pa 0.5000 0.5000 0.4044
P1 P 0.5000 0.5000 0.8905
O1 O 0.0000 0.5000 0.3594
```

[11]
This entry pairs a crystal structure of LiMo6S8 with its calculated powder diffractogram. Radiation: Cu Kα. Structure: a cell relaxed with GGA-PBE.
Peak positions follow from Bragg's law for the DFT cell and can differ from measured ones.

The 8 most intense peaks (15 to 90 degrees two-theta), most intense first:
46.05°, 1.971 Å, rel. 100.0, hkl 3 0 2
33.46°, 2.678 Å, rel. 79.2, hkl 1 3 1
43.35°, 2.087 Å, rel. 72.7, hkl 1 -4 0
40.74°, 2.215 Å, rel. 60.0, hkl 2 1 -3
51.68°, 1.769 Å, rel. 50.2, hkl 3 1 -3
30.14°, 2.965 Å, rel. 41.1, hkl 0 1 -3
35.01°, 2.563 Å, rel. 36.9, hkl 1 -3 1
44.61°, 2.031 Å, rel. 23.4, hkl -1 3 3

```
data_LiMo6S8
_symmetry_space_group_name_H-M 'P -1'
_symmetry_Int_Tables_number 2
_cell_length_a 6.5172
_cell_length_b 9.0235
_cell_length_c 9.4281
_cell_angle_alpha 89.96
_cell_angle_beta 89.95
_cell_angle_gamma 86.44
loop_
_symmetry_equiv_pos_as_xyz
'x,y,z'
'-x,-y,-z'
loop_
_atom_site_label
_atom_site_type_symbol
_atom_site_fract_x
_atom_site_fract_y
_atom_site_fract_z
Li1 Li 0.1016 0.3004 0.2627
Mo1 Mo 0.2155 0.7738 0.1773
Mo2 Mo 0.2166 0.2708 0.6781
Mo3 Mo 0.4058 0.3662 0.9150
Mo4 Mo 0.4066 0.8681 0.4166
Mo5 Mo 0.4500 0.0588 0.8453
Mo6 Mo 0.4521 0.5659 0.3433
S1 S 0.1329 0.1918 0.9218
S2 S 0.1342 0.6945 0.4202
S3 S 0.2168 0.0333 0.2503
S4 S 0.2169 0.5314 0.7492
S5 S 0.2675 0.5100 0.1223
S6 S 0.2725 0.0086 0.6242
S7 S 0.3842 0.3184 0.4500
S8 S 0.3872 0.8191 0.9535
```